1.
Structure and calculated X-ray powder pattern of La8Al4I7 (DFT lattice parameters and positions (GGA-PBE); CuKα).
No peak broadening, texture or thermal motion is included.

```
La8Al4I7
1.0
4.3309 0.0000 0.0000
-2.1649 18.0088 0.0000
-2.1525 -5.4480 24.8660
La Al I
24 12 21
Direct
0.0076 0.0466 0.3767
0.0094 0.2617 0.7370
0.0649 0.5889 0.8590
0.1291 0.2199 0.1020
0.2503 0.5613 0.3124
0.2651 0.4860 0.5654
0.2708 0.8714 0.4187
0.2990 0.1007 0.7977
0.3537 0.4279 0.9231
0.3795 0.7428 0.0261
0.4607 0.3029 0.5217
0.4796 0.9041 0.7454
0.5204 0.0959 0.2546
0.5393 0.6971 0.4783
0.6205 0.2572 0.9739
0.6463 0.5721 0.0769
0.7010 0.8993 0.2023
0.7292 0.1286 0.5813
0.7349 0.5140 0.4346
0.7497 0.4387 0.6876
0.8709 0.7801 0.8980
0.9351 0.4111 0.1410
0.9906 0.7383 0.2630
0.9924 0.9534 0.6233
0.0505 0.3275 0.6176
0.0766 0.5576 0.9766
0.2867 0.1336 0.6780
0.3130 0.9415 0.3005
0.3224 0.3669 0.0458
0.4497 0.2567 0.6393
0.5503 0.7433 0.3607
0.6776 0.6331 0.9542
0.6870 0.0585 0.6995
0.7133 0.8664 0.3220
0.9234 0.4424 0.0234
0.9495 0.6725 0.3824
0.0000 0.0000 0.5000
0.0310 0.3765 0.4430
0.0837 0.9424 0.8427
0.1012 0.8671 0.0994
0.2161 0.2005 0.3286
0.2540 0.7354 0.7993
0.2726 0.8321 0.5416
0.3238 0.4532 0.7947
0.3883 0.7057 0.1521
0.4305 0.1096 0.0311
0.4623 0.5787 0.6896
0.5377 0.4213 0.3104
0.5695 0.8904 0.9689
0.6117 0.2943 0.8479
0.6762 0.5468 0.2053
0.7274 0.1679 0.4584
0.7460 0.2646 0.2007
0.7839 0.7995 0.6714
0.8988 0.1329 0.9006
0.9163 0.0576 0.1573
0.9690 0.6235 0.5570
```

Peak list (6 most intense, 2θ = 10–90°, in order of rising 2θ)
two_theta	d [Å]	Rel. int.
26.60	3.351	77.4
26.70	3.339	74.3
29.50	3.027	83.2
30.62	2.919	86.9
38.89	2.316	74.5
43.02	2.103	100.0

---

2.
Structure and calculated X-ray powder pattern of AlIO (DFT lattice parameters and positions (GGA-PBE); CuKα).
No peak broadening, texture or thermal motion is included.

```
AlIO
1.0
5.8512 0.0000 0.0000
0.0000 9.8307 0.0000
0.0000 0.0000 5.1044
Al I O
4 4 4
Direct
0.0988 0.0763 0.0000
0.4012 0.0763 0.5000
0.5988 0.9237 0.0000
0.9012 0.9237 0.5000
0.0015 0.6842 0.6020
0.4985 0.6842 0.1020
0.5015 0.3158 0.6020
0.9985 0.3158 0.1020
0.1280 0.0276 0.6557
0.3720 0.0276 0.1557
0.6280 0.9724 0.6557
0.8720 0.9724 0.1557
```

Peak list (6 most intense, 2θ = 10–90°, in order of rising 2θ)
two_theta	d [Å]	Rel. int.
24.86	3.582	100.0
27.21	3.277	25.5
29.49	3.029	29.7
30.56	2.926	17.8
43.71	2.071	27.1
50.98	1.791	18.6

---

3.
Structure and calculated X-ray powder pattern of AlPd5I2 (DFT lattice parameters and positions (GGA-PBE); CuKα).
No peak broadening, texture or thermal motion is included.

```
AlPd5I2
1.0
-2.0497 2.0497 10.3847
2.0497 -2.0497 10.3847
2.0497 2.0497 -10.3847
Al Pd I
1 5 2
Direct
0.0000 0.0000 0.0000
0.0853 0.5853 0.5000
0.4147 0.9147 0.5000
0.5000 0.5000 0.0000
0.5853 0.0853 0.5000
0.9147 0.4147 0.5000
0.3250 0.3250 0.0000
0.6750 0.6750 0.0000
```

Peak list (6 most intense, 2θ = 10–90°, in order of rising 2θ)
two_theta	d [Å]	Rel. int.
22.10	4.022	29.0
30.64	2.918	22.3
35.47	2.531	19.3
40.59	2.222	100.0
44.19	2.050	40.4
78.84	1.214	27.8

---

4.
Structure and calculated X-ray powder pattern of Rb3AlI6 (DFT lattice parameters and positions (GGA-PBE); CuKα).
No peak broadening, texture or thermal motion is included.

```
Rb3AlI6
1.0
0.0000 6.2423 6.2423
6.2423 0.0000 6.2423
6.2423 6.2423 0.0000
Rb Al I
3 1 6
Direct
0.0000 0.0000 0.0000
0.2500 0.2500 0.2500
0.7500 0.7500 0.7500
0.5000 0.5000 0.5000
0.2777 0.2777 0.7223
0.2777 0.7223 0.2777
0.2777 0.7223 0.7223
0.7223 0.2777 0.2777
0.7223 0.2777 0.7223
0.7223 0.7223 0.2777
```

Peak list (6 most intense, 2θ = 10–90°, in order of rising 2θ)
two_theta	d [Å]	Rel. int.
14.19	6.242	20.5
24.70	3.604	100.0
28.60	3.121	84.7
31.23	2.864	19.8
40.89	2.207	56.1
48.36	1.882	34.8

---

5.
Structure and calculated X-ray powder pattern of AlSbI6 (DFT lattice parameters and positions (GGA-PBE); CuKα).
No peak broadening, texture or thermal motion is included.

```
AlSbI6
1.0
8.4679 -6.9960 0.0000
8.4679 6.9960 0.0000
-3.5801 0.0000 7.2420
Al Sb I
2 2 12
Direct
0.1965 0.1965 0.3486
0.8035 0.8035 0.6514
0.1904 0.8096 0.0000
0.8096 0.1904 0.0000
0.0247 0.7224 0.5781
0.1420 0.1420 0.9953
0.2146 0.5771 0.0746
0.2776 0.9753 0.4219
0.3600 0.3600 0.5331
0.4229 0.7854 0.9254
0.5771 0.2146 0.0746
0.6400 0.6400 0.4669
0.7224 0.0247 0.5781
0.7854 0.4229 0.9254
0.8580 0.8580 0.0047
0.9753 0.2776 0.4219
```

Peak list (6 most intense, 2θ = 10–90°, in order of rising 2θ)
two_theta	d [Å]	Rel. int.
12.63	7.011	36.2
23.44	3.795	34.3
24.59	3.621	38.2
24.78	3.594	47.5
25.17	3.538	100.0
38.62	2.331	51.9

---

6.
Structure and calculated X-ray powder pattern of AlTeI7 (DFT lattice parameters and positions (GGA-PBE); CuKα).
No peak broadening, texture or thermal motion is included.

```
AlTeI7
1.0
7.7589 0.0000 0.0000
0.0000 7.4803 0.0000
-4.2559 0.0000 16.3151
Al Te I
2 2 14
Direct
0.0000 0.0044 0.0000
0.0000 0.9956 0.5000
0.7135 0.4023 0.8473
0.7135 0.5977 0.3473
0.0255 0.3352 0.5075
0.0255 0.6648 0.0075
0.0645 0.1260 0.8668
0.0645 0.8740 0.3668
0.2217 0.1430 0.1244
0.2217 0.8570 0.6244
0.4401 0.3933 0.3786
0.4401 0.6067 0.8786
0.4962 0.1695 0.7360
0.4962 0.8305 0.2360
0.6863 0.1198 0.0004
0.6863 0.8802 0.5004
0.8199 0.3844 0.2343
0.8199 0.6156 0.7343
```

Peak list (6 most intense, 2θ = 10–90°, in order of rising 2θ)
two_theta	d [Å]	Rel. int.
21.56	4.121	88.0
24.42	3.646	78.1
25.47	3.497	100.0
25.88	3.443	91.4
29.48	3.030	68.0
45.86	1.979	57.4

---

7.
Structure and calculated X-ray powder pattern of Al3Te3I (DFT lattice parameters and positions (GGA-PBE); CuKα).
No peak broadening, texture or thermal motion is included.

```
Al3Te3I
1.0
11.6703 0.0000 0.0000
0.0000 4.1532 0.0000
0.0000 0.0000 21.3077
Al Te I
12 12 4
Direct
0.0440 0.2500 0.0950
0.1639 0.2500 0.9947
0.1765 0.2500 0.6283
0.3235 0.7500 0.1283
0.3361 0.7500 0.4947
0.4560 0.7500 0.5950
0.5440 0.2500 0.4050
0.6639 0.2500 0.5053
0.6765 0.2500 0.8717
0.8235 0.7500 0.3717
0.8361 0.7500 0.0053
0.9560 0.7500 0.9050
0.0936 0.2500 0.8745
0.1864 0.2500 0.5030
0.2137 0.2500 0.1814
0.2863 0.7500 0.6814
0.3136 0.7500 0.0030
0.4064 0.7500 0.3745
0.5936 0.2500 0.6255
0.6864 0.2500 0.9970
0.7137 0.2500 0.3186
0.7863 0.7500 0.8186
0.8136 0.7500 0.4970
0.9064 0.7500 0.1255
0.0298 0.7500 0.3355
0.4702 0.2500 0.8355
0.5298 0.7500 0.1645
0.9702 0.2500 0.6645
```

Peak list (6 most intense, 2θ = 10–90°, in order of rising 2θ)
two_theta	d [Å]	Rel. int.
24.36	3.654	50.0
25.08	3.551	52.1
26.00	3.427	100.0
26.12	3.412	49.3
26.34	3.384	52.5
26.68	3.342	59.1